Structure and calculated powder X-ray diffraction pattern of ScMn6GaGe5 (a DFT-relaxed cell (PBE, the Materials Project); Cu Kα (λ = 1.5418 Å)).
Kinematic intensities with the Lorentz-polarization factor, no thermal factor.

Structure:
Cell: 5.1068 5.1068 8.1647 Å, 90.00 90.00 120.00°
Space group P-6m2 (No. 187)
Unique sites:
Sc: 0.0000 0.0000 0.0000
Mn: 0.0008 0.5004 0.2467
Ga: 0.6667 0.3333 0.5000
Ge: 0.0000 0.0000 0.3375
Ge: 0.3333 0.6667 0.0000
Ge: 0.3333 0.6667 0.5000
Ge: 0.6667 0.3333 0.0000

Main lines, sorted by position (2θ = 10–90°):
2θ/deg  I (rel.)  h k l
35.1  65  1 1 0
38.9  27  1 0 3
40.8  42  2 0 0
41.7  82  1 1 2
44.4  26  0 0 4
46.7  100  2 0 2
48.9  14  1 1 3
49.2  31  1 0 4
67.6  18  3 0 2
73.2  18  2 1 4
74.3  31  2 2 0
79.9  28  1 1 6

***

Structure and calculated powder X-ray diffraction pattern of Tb3Mn3Ga2Ge (a DFT-relaxed cell (PBE, the Materials Project); Cu Kα (λ = 1.5418 Å)).
Kinematic intensities with the Lorentz-polarization factor, no thermal factor.

Structure:
Cell: 7.0432 7.0432 4.1705 Å, 90.00 90.00 120.00°
Space group P-6 (No. 174)
Unique sites:
Tb: 0.0015 0.5828 0.0000
Mn: 0.0041 0.2362 0.5000
Ga: 0.0000 0.0000 0.0000
Ga: 0.6667 0.3333 0.5000
Ge: 0.3333 0.6667 0.5000

Main lines, sorted by position (2θ = 10–90°):
2θ/deg  I (rel.)  h k l
25.3  17  1 1 0
29.3  23  2 0 0
33.3  96  1 1 1
36.5  100  2 0 1
39.1  39  1 2 0
43.4  28  0 0 2
44.6  16  3 0 0
54.2  18  3 1 0
58.9  31  3 1 1
59.8  22  1 2 2
71.1  19  2 3 1
71.9  16  3 1 2